No. 1
# Th2ZnCd16
Calculated powder X-ray diffraction pattern, CuKα. Input: a DFT-relaxed cell (PBE, Alexandria).
No peak broadening, texture or thermal motion is included.

Crystal structure
abc: 7.632 7.632 7.632
angles: 82.67 82.67 82.67
Fractional positions:
Th: 0.000 0.000 0.000
Th: 0.335 0.335 0.335
Zn: 0.576 0.576 0.576
Cd: 0.011 0.011 0.549
Cd: 0.011 0.549 0.011
Cd: 0.211 0.641 0.641
Cd: 0.296 0.296 0.882
Cd: 0.296 0.882 0.296
Cd: 0.368 0.672 0.971
Cd: 0.368 0.971 0.672
Cd: 0.549 0.011 0.011
Cd: 0.641 0.211 0.641
Cd: 0.641 0.641 0.211
Cd: 0.672 0.368 0.971
Cd: 0.672 0.971 0.368
Cd: 0.765 0.765 0.765
Cd: 0.882 0.296 0.296
Cd: 0.971 0.368 0.672
Cd: 0.971 0.672 0.368

Most intense lines, 2θ from 10° to 80°, most intense first:
d (Å), intensity
2.507, 100.0
2.467, 33.5
2.910, 33.2
2.520, 29.7
1.432, 17.3
2.451, 16.2
2.245, 14.7
2.824, 14.6
1.455, 13.8
3.527, 13.6
1.345, 11.9
1.882, 10.0


No. 2
# SrAsAu2S4
Calculated powder X-ray diffraction pattern, CuKα. Input: a DFT-relaxed cell (PBE, Alexandria).
No peak broadening, texture or thermal motion is included.

Crystal structure
abc: 6.497 6.497 6.497
angles: 121.04 107.29 100.79
Fractional positions:
Sr: 0.000 0.000 0.000
As: 0.500 0.000 0.500
Au: 0.302 0.500 0.802
Au: 0.698 0.500 0.198
S: 0.146 0.039 0.514
S: 0.475 0.961 0.107
S: 0.525 0.632 0.486
S: 0.854 0.368 0.893

Most intense lines, 2θ from 10° to 80°, most intense first:
d (Å), intensity
3.065, 100.0
2.532, 60.7
4.142, 57.8
2.117, 47.1
5.062, 30.5
1.820, 27.0
3.198, 25.1
2.065, 23.4
5.641, 20.3
2.453, 20.1
1.738, 16.8
3.169, 16.1


No. 3
# Pm3YGe2C
Calculated powder X-ray diffraction pattern, CuKα. Input: a DFT-relaxed cell (PBE, Alexandria).
No peak broadening, texture or thermal motion is included.

Crystal structure
abc: 8.541 8.541 8.541
angles: 147.75 147.05 46.77
Fractional positions:
Pm: 0.000 0.000 0.000
Pm: 0.331 0.831 0.500
Pm: 0.669 0.169 0.500
Y: 0.500 0.500 0.000
Ge: 0.135 0.635 0.500
Ge: 0.865 0.365 0.500
C: 0.500 0.000 0.500

Most intense lines, 2θ from 10° to 80°, most intense first:
d (Å), intensity
3.111, 100.0
2.564, 94.2
2.614, 52.2
2.423, 37.7
2.372, 35.5
1.695, 33.0
1.777, 32.8
1.424, 25.9
1.756, 21.1
1.422, 20.8
3.553, 19.4
3.390, 18.6


No. 4
# CeCu3Pd4O12
Calculated powder X-ray diffraction pattern, CuKα. Input: a DFT-relaxed cell (PBE, Alexandria).
No peak broadening, texture or thermal motion is included.

Crystal structure
abc: 6.608 6.608 6.608
angles: 109.47 109.47 109.47
Fractional positions:
Ce: 0.000 0.000 0.000
Cu: 0.000 0.500 0.500
Cu: 0.500 0.000 0.500
Cu: 0.500 0.500 0.000
Pd: 0.000 0.000 0.500
Pd: 0.000 0.500 0.000
Pd: 0.500 0.000 0.000
Pd: 0.500 0.500 0.500
O: 0.143 0.840 0.303
O: 0.160 0.303 0.463
O: 0.160 0.697 0.857
O: 0.303 0.143 0.840
O: 0.303 0.463 0.160
O: 0.463 0.160 0.303
O: 0.537 0.840 0.697
O: 0.697 0.537 0.840
O: 0.697 0.857 0.160
O: 0.840 0.303 0.143
O: 0.840 0.697 0.537
O: 0.857 0.160 0.697

Most intense lines, 2θ from 10° to 80°, most intense first:
d (Å), intensity
2.698, 100.0
1.557, 46.7
1.908, 22.8
1.206, 16.8
1.349, 11.9
5.395, 5.6
2.413, 4.6
2.039, 4.4
3.815, 2.6
1.706, 1.7
1.238, 1.1
1.496, 1.0


No. 5
# Tl2OsPt
Calculated powder X-ray diffraction pattern, CuKα. Input: a DFT-relaxed cell (PBE, Alexandria).
No peak broadening, texture or thermal motion is included.

Crystal structure
abc: 4.805 4.805 5.374
angles: 102.34 102.34 39.57
Fractional positions:
Tl: 0.249 0.249 0.246
Tl: 0.751 0.751 0.754
Os: 0.500 0.500 0.000
Pt: 0.000 0.000 0.500

Most intense lines, 2θ from 10° to 80°, most intense first:
d (Å), intensity
2.550, 100.0
2.144, 61.2
2.514, 48.1
2.202, 33.0
2.054, 26.9
1.569, 23.2
1.308, 19.1
1.410, 16.3
1.366, 14.7
1.627, 13.1
1.294, 12.3
1.275, 11.7


No. 6
# Tm4SnPb3
Calculated powder X-ray diffraction pattern, CuKα. Input: a DFT-relaxed cell (PBE, Alexandria).
No peak broadening, texture or thermal motion is included.

Crystal structure
abc: 10.969 6.320 6.321
angles: 90.00 90.00 90.00
Fractional positions:
Tm: 0.000 0.000 0.000
Tm: 0.000 0.500 0.500
Tm: 0.250 0.245 0.250
Tm: 0.250 0.755 0.750
Tm: 0.500 0.000 0.500
Tm: 0.500 0.500 0.000
Tm: 0.750 0.245 0.250
Tm: 0.750 0.755 0.750
Sn: 0.000 0.000 0.500
Sn: 0.500 0.000 0.000
Pb: 0.000 0.500 0.000
Pb: 0.250 0.253 0.750
Pb: 0.250 0.747 0.250
Pb: 0.500 0.500 0.500
Pb: 0.750 0.253 0.750
Pb: 0.750 0.747 0.250

Most intense lines, 2θ from 10° to 80°, most intense first:
d (Å), intensity
2.739, 100.0
1.369, 29.1
2.235, 22.8
1.732, 21.1
1.582, 19.6
1.580, 3.9
1.371, 2.5
5.479, 1.1


No. 7
# Ce8ZnOs2
Calculated powder X-ray diffraction pattern, CuKα. Input: a DFT-relaxed cell (PBE, Alexandria).
No peak broadening, texture or thermal motion is included.

Crystal structure
abc: 9.023 9.023 5.272
angles: 104.91 104.91 41.44
Fractional positions:
Ce: 0.000 0.000 0.000
Ce: 0.217 0.610 0.418
Ce: 0.327 0.117 0.199
Ce: 0.390 0.783 0.582
Ce: 0.493 0.146 0.840
Ce: 0.783 0.217 0.500
Ce: 0.854 0.507 0.160
Ce: 0.883 0.673 0.801
Zn: 0.489 0.511 0.000
Os: 0.084 0.233 0.632
Os: 0.767 0.916 0.368

Most intense lines, 2θ from 10° to 80°, most intense first:
d (Å), intensity
2.634, 100.0
2.457, 60.2
2.418, 59.9
2.702, 56.9
2.893, 39.2
2.915, 34.5
2.812, 27.8
2.683, 27.6
2.829, 26.9
5.941, 24.3
2.221, 24.2
2.971, 22.3


No. 8
# CrP2
Calculated powder X-ray diffraction pattern, CuKα. Input: a DFT-relaxed cell (PBE, Alexandria).
No peak broadening, texture or thermal motion is included.

Crystal structure
abc: 4.357 4.357 7.081
angles: 117.43 117.43 40.42
Fractional positions:
Cr: 0.157 0.157 0.204
Cr: 0.843 0.843 0.796
P: 0.145 0.145 0.529
P: 0.398 0.398 0.099
P: 0.602 0.602 0.901
P: 0.855 0.855 0.471

Most intense lines, 2θ from 10° to 80°, most intense first:
d (Å), intensity
2.366, 100.0
4.069, 39.8
1.865, 36.0
1.759, 34.0
1.890, 32.5
1.966, 29.8
2.056, 28.9
1.781, 24.8
2.349, 24.2
1.505, 22.6
1.827, 21.0
1.878, 21.0


No. 9
# Sn2H5Ru
Calculated powder X-ray diffraction pattern, CuKα. Input: a DFT-relaxed cell (PBE, Alexandria).
No peak broadening, texture or thermal motion is included.

Crystal structure
abc: 4.735 4.747 5.193
angles: 90.18 117.11 90.13
Fractional positions:
Sn: 0.000 0.000 0.000
Sn: 0.425 0.578 0.852
H: 0.015 0.203 0.569
H: 0.510 0.680 0.462
H: 0.556 0.198 0.570
H: 0.642 0.355 0.286
H: 0.948 0.685 0.463
Ru: 0.811 0.457 0.623

Most intense lines, 2θ from 10° to 80°, most intense first:
d (Å), intensity
4.623, 100.0
3.153, 94.2
2.370, 86.2
2.265, 79.6
3.320, 74.1
3.146, 62.5
2.273, 40.1
1.927, 37.6
1.722, 36.1
2.107, 34.8
2.583, 29.4
2.067, 27.0


No. 10
# La3Y3Tm8
Calculated powder X-ray diffraction pattern, CuKα. Input: a DFT-relaxed cell (PBE, Alexandria).
No peak broadening, texture or thermal motion is included.

Crystal structure
abc: 9.704 9.704 9.704
angles: 146.21 112.35 77.79
Fractional positions:
La: 0.000 0.000 0.000
La: 0.188 0.688 0.500
La: 0.812 0.312 0.500
Y: 0.202 0.500 0.702
Y: 0.500 0.500 0.000
Y: 0.798 0.500 0.298
Tm: 0.118 0.280 0.838
Tm: 0.241 0.898 0.342
Tm: 0.442 0.280 0.162
Tm: 0.444 0.102 0.342
Tm: 0.556 0.898 0.658
Tm: 0.558 0.720 0.838
Tm: 0.759 0.102 0.658
Tm: 0.882 0.720 0.162

Most intense lines, 2θ from 10° to 80°, most intense first:
d (Å), intensity
2.818, 100.0
2.663, 37.8
3.013, 22.1
2.929, 16.6
3.503, 13.2
1.627, 12.7
2.031, 11.7
1.492, 11.1
2.366, 9.5
2.196, 9.3
1.518, 8.9
1.596, 8.0


No. 11
# BaPm2Hg2
Calculated powder X-ray diffraction pattern, CuKα. Input: a DFT-relaxed cell (PBE, Alexandria).
No peak broadening, texture or thermal motion is included.

Crystal structure
abc: 10.923 10.923 3.929
angles: 90.00 90.00 158.77
Fractional positions:
Ba: 0.000 0.000 0.000
Pm: 0.180 0.820 0.000
Pm: 0.820 0.180 0.000
Hg: 0.389 0.611 0.500
Hg: 0.611 0.389 0.500

Most intense lines, 2θ from 10° to 80°, most intense first:
d (Å), intensity
2.936, 100.0
2.788, 98.8
2.646, 46.7
3.171, 45.2
1.633, 35.6
1.602, 35.0
5.368, 32.8
2.617, 32.7
2.012, 21.0
1.965, 19.5
2.216, 16.8
1.267, 15.3


No. 12
# Rb2SrTlI5
Calculated powder X-ray diffraction pattern, CuKα. Input: a DFT-relaxed cell (PBE, Alexandria).
No peak broadening, texture or thermal motion is included.

Crystal structure
abc: 6.265 6.265 13.165
angles: 90.00 90.00 90.00
Fractional positions:
Rb: 0.000 0.000 0.220
Rb: 0.000 0.000 0.780
Sr: 0.500 0.500 0.000
Tl: 0.500 0.500 0.500
I: 0.000 0.000 0.500
I: 0.000 0.500 0.000
I: 0.500 0.000 0.000
I: 0.500 0.500 0.248
I: 0.500 0.500 0.752

Most intense lines, 2θ from 10° to 80°, most intense first:
d (Å), intensity
3.132, 100.0
2.269, 74.3
4.199, 71.5
4.430, 68.8
3.118, 58.2
3.291, 52.1
1.838, 38.9
2.215, 37.8
2.642, 30.9
1.289, 25.6
6.265, 24.8
1.806, 23.9


What is the formula in the first record? Th2ZnCd16


Which formula does entry 4 have? CeCu3Pd4O12